[1]
Starting from a crystal structure in Alexandria, relaxed with PBE, the powder XRD pattern of SmHoHg3 was computed for Cu Kα.
Lines closer than 0.1° are merged.

Main lines, by angle (2θ from 10° to 90°):
32.17 deg, I 100.0, hkl 1 3 1; 32.96 deg, I 36.6, hkl 1 7 0; 35.86 deg, I 81.5, hkl 0 10 1; 36.43 deg, I 47.3, hkl 0 0 2; 41.82 deg, I 29.4, hkl 1 9 1; 63.73 deg, I 31.2, hkl 2 10 1

Cell and atoms:
Cell lengths 3.5946, 29.0707, 4.9329 Å; angles 90.00, 90.00, 90.00 degrees
Space group Cmcm (No. 63)
Inequivalent atoms, fractional coordinates:
Sm1 0.0000 0.0764 0.2500
Ho1 0.0000 0.2109 0.7500
Hg1 0.0000 0.3176 0.7500
Hg2 0.0000 0.3772 0.2500
Hg3 0.0000 0.4758 0.2500

[2]
Starting from a crystal structure in Alexandria, relaxed with PBE, the powder XRD pattern of Y3HoPd2 was computed for Cu Kα.
Lines closer than 0.1° are merged.

Main lines, by angle (2θ from 10° to 90°):
29.17 deg, I 28.7, hkl 0 3 1; 31.74 deg, I 36.8, hkl 1 2 1; 32.72 deg, I 23.1, hkl 0 1 3; 33.02 deg, I 100.0, hkl 1 1 2; 37.91 deg, I 43.7, hkl 1 3 1; 38.08 deg, I 17.9, hkl 0 4 1

Cell and atoms:
Cell lengths 3.7577, 9.8370, 8.5491 Å; angles 90.00, 90.00, 90.00 degrees
Space group Pmc2_1 (No. 26)
Inequivalent atoms, fractional coordinates:
Y1 0.0000 0.0651 0.0000
Y2 0.0000 0.2833 0.3375
Y3 0.5000 0.2175 0.6799
Ho1 0.5000 0.4371 0.0172
Pd1 0.0000 0.4315 0.7446
Pd2 0.5000 0.0699 0.2738

[3]
Starting from a crystal structure in Alexandria, relaxed with PBE, the powder XRD pattern of K3LaHo2S6 was computed for Cu Kα.
Lines closer than 0.1° are merged.

Main lines, by angle (2θ from 10° to 90°):
12.00 deg, I 72.7, hkl 0 0 1; 25.28 deg, I 25.1, hkl 1 3 0; 26.24 deg, I 34.2, hkl 2 0 0; 29.80 deg, I 100.0, hkl 1 3 1; 41.30 deg, I 35.3, hkl 2 0 2; 43.95 deg, I 33.9, hkl 0 6 0

Cell and atoms:
Cell lengths 7.1358, 12.3610, 7.7503 Å; angles 90.00, 107.91, 90.00 degrees
Space group C2/m (No. 12)
Inequivalent atoms, fractional coordinates:
K1 0.0000 0.0000 0.0000
K2 0.0000 0.3345 0.0000
La1 0.0000 0.5000 0.5000
Ho1 0.0000 0.1668 0.5000
S1 0.2214 0.0000 0.7031
S2 0.2409 0.3268 0.7030

[4]
Starting from a crystal structure in Alexandria, relaxed with PBE, the powder XRD pattern of Rb3Pu3PbSe8 was computed for Cu Kα.
Lines closer than 0.1° are merged.

Main lines, by angle (2θ from 10° to 90°):
11.12 deg, I 69.1, hkl 0 0 3; 28.32 deg, I 100.0, hkl 0 2 4; 35.76 deg, I 22.2, hkl 0 2 7; 38.72 deg, I 34.6, hkl 2 0 8; 42.17 deg, I 36.1, hkl 2 2 0; 51.58 deg, I 18.6, hkl 4 0 4

Cell and atoms:
Cell lengths 8.5708, 8.5708, 23.8736 Å; angles 90.00, 90.00, 120.00 degrees
Space group R-3m (No. 166, hexagonal axes)
Inequivalent atoms, fractional coordinates:
Rb1 0.0000 0.5000 0.0000
Pu1 0.0000 0.5000 0.5000
Pb1 0.0000 0.0000 0.5000
Se1 0.0000 0.0000 0.2312
Se2 0.0232 0.5116 0.7686

[5]
Starting from a crystal structure in Alexandria, relaxed with PBE, the powder XRD pattern of Li4Ti7O16 was computed for Cu Kα.
Lines closer than 0.1° are merged.

Main lines, by angle (2θ from 10° to 90°):
19.88 deg, I 100.0, hkl 2 0 -1; 32.82 deg, I 16.7, hkl 2 0 -3; 32.97 deg, I 17.9, hkl 2 0 3; 36.37 deg, I 26.5, hkl 2 2 1; 39.87 deg, I 22.8, hkl 2 2 -2; 51.15 deg, I 16.6, hkl 4 2 -2

Cell and atoms:
Cell lengths 10.0581, 5.9301, 9.7143 Å; angles 90.00, 90.27, 90.00 degrees
Space group Cm (No. 8)
Inequivalent atoms, fractional coordinates:
Li1 0.0000 0.0000 0.0000
Li2 0.0206 0.0000 0.6740
Li3 0.2502 0.2475 0.5636
Ti1 0.0172 0.5000 0.6666
Ti2 0.0366 0.2422 0.3920
Ti3 0.2675 0.2560 0.8810
Ti4 0.2685 0.5000 0.1684
Ti5 0.3082 0.0000 0.1582
O1 0.1385 0.0000 0.4762
O2 0.1391 0.5000 0.4864
O3 0.1442 0.2694 0.7401
O4 0.1792 0.5000 0.9903
O5 0.1876 0.0000 0.9848
O6 0.1878 0.2459 0.2468
O7 0.3781 0.0000 0.8015
O8 0.3801 0.2562 0.0688
O9 0.3813 0.5000 0.8255
O10 0.4352 0.5000 0.3072
O11 0.4366 0.2359 0.5576
O12 0.4428 0.0000 0.3008

[6]
Starting from a crystal structure in Alexandria, relaxed with PBE, the powder XRD pattern of TlB5Rh8 was computed for Cu Kα.
Lines closer than 0.1° are merged.

Main lines, by angle (2θ from 10° to 90°):
33.54 deg, I 55.9, hkl 3 1 0; 36.85 deg, I 70.6, hkl 0 0 3; 37.13 deg, I 100.0, hkl 3 1 1; 39.38 deg, I 79.5, hkl 3 1 -2; 39.92 deg, I 55.1, hkl 6 0 -2; 41.50 deg, I 48.1, hkl 6 0 1

Cell and atoms:
Cell lengths 14.9395, 3.1968, 7.4876 Å; angles 90.00, 102.20, 90.00 degrees
Space group C2/m (No. 12)
Inequivalent atoms, fractional coordinates:
Tl1 0.0000 0.0000 0.0000
B1 0.0000 0.5000 0.5000
B2 0.1589 0.0000 0.4866
B3 0.2010 0.0000 0.8320
Rh1 0.0656 0.0000 0.6671
Rh2 0.0985 0.5000 0.3273
Rh3 0.1682 0.5000 0.9925
Rh4 0.2361 0.5000 0.6628

[7]
Starting from a crystal structure in Alexandria, relaxed with PBE, the powder XRD pattern of TlGa2CuTe4 was computed for Cu Kα.
Lines closer than 0.1° are merged.

Main lines, by angle (2θ from 10° to 90°):
28.39 deg, I 100.0, hkl 1 1 2; 29.12 deg, I 21.5, hkl 2 1 1; 33.48 deg, I 54.0, hkl 2 2 0; 36.63 deg, I 15.0, hkl 0 3 1; 43.79 deg, I 20.8, hkl 1 3 2; 45.10 deg, I 27.0, hkl 3 1 2

Cell and atoms:
Cell lengths 7.3950, 7.7547, 7.7734 Å; angles 90.00, 90.00, 90.00 degrees
Space group I222 (No. 23)
Inequivalent atoms, fractional coordinates:
Tl1 0.0000 0.0000 0.0000
Ga1 0.0000 0.5000 0.3181
Cu1 0.0000 0.0000 0.5000
Te1 0.2361 0.1928 0.6395

[8]
Starting from a crystal structure in Alexandria, relaxed with PBE, the powder XRD pattern of TaNi3 was computed for Cu Kα.
Lines closer than 0.1° are merged.

Main lines, by angle (2θ from 10° to 90°):
27.26 deg, I 50.4, hkl 0 1 2; 42.56 deg, I 84.1, hkl 0 0 4; 43.80 deg, I 58.9, hkl 2 0 1; 44.16 deg, I 100.0, hkl 1 2 -2; 46.79 deg, I 49.6, hkl 2 0 -3; 47.93 deg, I 79.9, hkl 1 2 2

Cell and atoms:
Cell lengths 4.5503, 5.1263, 8.6530 Å; angles 90.00, 100.90, 90.00 degrees
Space group P2_1/m (No. 11)
Inequivalent atoms, fractional coordinates:
Ta1 0.1121 0.2500 0.3777
Ta2 0.2900 0.2500 0.8724
Ni1 0.1319 0.7500 0.3761
Ni2 0.2049 0.0012 0.1234
Ni3 0.2995 0.7500 0.8734
Ni4 0.3861 0.5024 0.6264

[9]
Starting from a crystal structure in Alexandria, relaxed with PBE, the powder XRD pattern of Tm4GeSe2S was computed for Cu Kα.
Lines closer than 0.1° are merged.

Main lines, by angle (2θ from 10° to 90°):
27.27 deg, I 17.6, hkl 1 1 -1; 31.57 deg, I 100.0, hkl 1 1 1; 44.95 deg, I 23.9, hkl 1 1 -3; 45.31 deg, I 12.4, hkl 0 2 0; 45.53 deg, I 24.5, hkl 3 1 -1; 56.26 deg, I 12.9, hkl 2 2 -2

Cell and atoms:
Cell lengths 6.8907, 4.0029, 7.0046 Å; angles 90.00, 109.44, 90.00 degrees
Space group P2/m (No. 10)
Inequivalent atoms, fractional coordinates:
Tm1 0.2439 0.0000 0.2305
Tm2 0.2560 0.5000 0.7656
Ge1 0.5000 0.0000 0.0000
Se1 0.0000 0.0000 0.5000
Se2 0.5000 0.5000 0.5000
S1 0.0000 0.5000 0.0000

[10]
Starting from a crystal structure in Alexandria, relaxed with PBE, the powder XRD pattern of Sm4TlBiSe2 was computed for Cu Kα.
Lines closer than 0.1° are merged.

Main lines, by angle (2θ from 10° to 90°):
29.02 deg, I 100.0, hkl 2 0 -2; 40.75 deg, I 12.9, hkl 2 0 2; 41.26 deg, I 25.2, hkl 1 1 -3; 41.75 deg, I 25.3, hkl 3 1 -1; 52.09 deg, I 13.3, hkl 2 2 -2; 60.15 deg, I 12.5, hkl 4 0 -4

Cell and atoms:
Cell lengths 7.5256, 4.2757, 7.6430 Å; angles 90.00, 108.54, 90.00 degrees
Space group P2/m (No. 10)
Inequivalent atoms, fractional coordinates:
Sm1 0.2412 0.0000 0.2339
Sm2 0.2559 0.5000 0.7678
Tl1 0.0000 0.0000 0.5000
Bi1 0.5000 0.5000 0.5000
Se1 0.0000 0.5000 0.0000
Se2 0.5000 0.0000 0.0000

[11]
Starting from a crystal structure in Alexandria, relaxed with PBE, the powder XRD pattern of Sr2Cu3Se2O2 was computed for Cu Kα.
Lines closer than 0.1° are merged.

Main lines, by angle (2θ from 10° to 90°):
31.57 deg, I 26.7, hkl 1 1 0; 32.29 deg, I 100.0, hkl 1 0 5; 36.83 deg, I 45.7, hkl 1 1 4; 39.83 deg, I 36.0, hkl 1 0 7; 45.25 deg, I 59.1, hkl 2 0 0; 56.67 deg, I 38.6, hkl 2 1 5

Cell and atoms:
Cell lengths 4.0083, 4.0083, 19.1959 Å; angles 90.00, 90.00, 90.00 degrees
Space group I4/mmm (No. 139)
Inequivalent atoms, fractional coordinates:
Sr1 0.0000 0.0000 0.0860
Cu1 0.0000 0.0000 0.5000
Cu2 0.0000 0.5000 0.2500
Se1 0.0000 0.0000 0.3290
O1 0.0000 0.5000 0.0000

[12]
Starting from a crystal structure in Alexandria, relaxed with PBE, the powder XRD pattern of CsIn2Hg5 was computed for Cu Kα.
Lines closer than 0.1° are merged.

Main lines, by angle (2θ from 10° to 90°):
28.03 deg, I 96.7, hkl 0 2 1; 29.37 deg, I 70.5, hkl 1 2 -1; 30.29 deg, I 70.9, hkl 1 1 1; 30.41 deg, I 66.3, hkl 1 1 -2; 31.75 deg, I 100.0, hkl 2 0 -1; 36.70 deg, I 62.3, hkl 1 2 1

Cell and atoms:
Cell lengths 5.6361, 7.6008, 6.4503 Å; angles 90.00, 115.63, 90.00 degrees
Space group Pm (No. 6)
Inequivalent atoms, fractional coordinates:
Cs1 0.0000 0.0000 0.0000
In1 0.5565 0.5000 0.0061
In2 0.9033 0.5000 0.7097
Hg1 0.1729 0.5000 0.2543
Hg2 0.3178 0.2057 0.6341
Hg3 0.6789 0.1995 0.3621